Entry 1:
This entry pairs a crystal structure of Tb12PmEr3 with its theoretical powder X-ray diffraction pattern. Radiation: Cu Kα (weighted mean of Kα1 and Kα2). Structure: a DFT-relaxed cell (GGA-PBE, Alexandria).

Crystal structure
```
Tb12PmEr3
1.0
5.0282 0.0000 0.0000
0.0000 5.0282 0.0000
0.0000 0.0000 20.1086
Tb Pm Er
12 1 3
direct
0.0000 0.0000 0.0000
0.0000 0.0000 0.2485
0.0000 0.0000 0.5000
0.0000 0.0000 0.7515
0.0000 0.5000 0.1244
0.0000 0.5000 0.3734
0.0000 0.5000 0.6266
0.0000 0.5000 0.8756
0.5000 0.0000 0.1244
0.5000 0.0000 0.3734
0.5000 0.0000 0.6266
0.5000 0.0000 0.8756
0.5000 0.5000 0.5000
0.5000 0.5000 0.0000
0.5000 0.5000 0.2490
0.5000 0.5000 0.7510
```

The 8 most intense peaks (15 to 90 degrees two-theta), in order of rising 2θ:
d_spacing  2θ/deg  Rel. int.
2.903  30.80  100
2.514  35.72  51
1.778  51.40  36
1.516  61.13  43
1.451  64.17  12
1.257  75.66  6
1.153  83.88  18
1.124  86.58  17

---

Entry 2:
This entry pairs a crystal structure of Tb2PmEr12 with its theoretical powder X-ray diffraction pattern. Radiation: Cu Kα (weighted mean of Kα1 and Kα2). Structure: a DFT-relaxed cell (GGA-PBE, Alexandria).

Crystal structure
```
Tb2PmEr12
1.0
3.5388 -5.5724 0.0000
3.5388 5.5724 0.0000
-1.6470 0.0000 23.8849
Tb Pm Er
4 2 24
direct
0.0727 0.0727 0.2819
0.4270 0.4270 0.7175
0.5730 0.5730 0.2825
0.9273 0.9273 0.7181
0.2494 0.2494 0.0000
0.7506 0.7506 0.0000
0.0328 0.0328 0.1376
0.0468 0.5467 0.1934
0.0851 0.5851 0.3302
0.1382 0.6373 0.5552
0.1421 0.1421 0.5756
0.2338 0.7326 0.9323
0.2674 0.7662 0.0677
0.3571 0.3571 0.4246
0.3627 0.8618 0.4448
0.4149 0.9149 0.6698
0.4533 0.9532 0.8066
0.4670 0.4670 0.8618
0.5330 0.5330 0.1382
0.5467 0.0468 0.1934
0.5851 0.0851 0.3302
0.6373 0.1382 0.5552
0.6429 0.6429 0.5754
0.7326 0.2338 0.9323
0.7662 0.2674 0.0677
0.8579 0.8579 0.4244
0.8618 0.3627 0.4448
0.9149 0.4149 0.6698
0.9532 0.4533 0.8066
0.9672 0.9672 0.8624
```

The 8 most intense peaks (15 to 90 degrees two-theta), in order of rising 2θ:
d_spacing  2θ/deg  Rel. int.
2.936  30.44  27
2.910  30.73  69
2.851  31.38  100
2.786  32.13  81
2.737  32.71  25
2.632  34.07  38
2.608  34.39  25
1.494  62.15  26

---

Entry 3:
This entry pairs a crystal structure of Tb14PmEr with its theoretical powder X-ray diffraction pattern. Radiation: Cu Kα (weighted mean of Kα1 and Kα2). Structure: a DFT-relaxed cell (GGA-PBE, Alexandria).

Crystal structure
```
Tb14PmEr
1.0
11.5134 0.0000 0.0000
0.0000 3.5760 6.1938
0.0000 -3.5760 6.1938
Tb Pm Er
14 1 1
direct
0.0000 0.9997 0.9997
0.0000 0.9995 0.5002
0.0000 0.5002 0.9995
0.0000 0.5000 0.5000
0.2487 0.3332 0.3332
0.2495 0.3333 0.8326
0.2495 0.8326 0.3333
0.2507 0.8329 0.8329
0.5000 0.1664 0.6657
0.5000 0.6657 0.1664
0.7493 0.8329 0.8329
0.7505 0.3333 0.8326
0.7505 0.8326 0.3333
0.7513 0.3332 0.3332
0.5000 0.1663 0.1663
0.5000 0.6660 0.6660
```

The 8 most intense peaks (15 to 90 degrees two-theta), in order of rising 2θ:
d_spacing  2θ/deg  Rel. int.
2.991  29.88  43
2.878  31.07  34
2.727  32.84  100
2.410  37.31  24
1.788  51.08  26
1.631  56.41  22
1.519  61.01  30
1.495  62.07  16

---

Entry 4:
This entry pairs a crystal structure of Tb5Pm2Er2 with its theoretical powder X-ray diffraction pattern. Radiation: Cu Kα (weighted mean of Kα1 and Kα2). Structure: a DFT-relaxed cell (GGA-PBE, Alexandria).

Crystal structure
```
Tb5Pm2Er2
1.0
3.5722 0.0000 0.0000
-1.7819 5.9094 0.0000
-1.7635 -0.5367 13.6835
Tb Pm Er
5 2 2
direct
0.0000 0.0000 0.0000
0.3337 0.2230 0.4453
0.3337 0.5555 0.1118
0.6663 0.4445 0.8882
0.6663 0.7770 0.5547
0.3340 0.8905 0.7768
0.6660 0.1095 0.2232
0.0004 0.3352 0.6653
0.9996 0.6648 0.3347
```

The 8 most intense peaks (15 to 90 degrees two-theta), in order of rising 2θ:
d_spacing  2θ/deg  Rel. int.
2.913  30.70  100
2.522  35.59  51
1.785  51.18  18
1.782  51.26  18
1.522  60.86  18
1.520  60.94  25
1.456  63.96  9
1.128  86.27  10

---

Entry 5:
This entry pairs a crystal structure of Tb12Pm3Er with its theoretical powder X-ray diffraction pattern. Radiation: Cu Kα (weighted mean of Kα1 and Kα2). Structure: a DFT-relaxed cell (GGA-PBE, Alexandria).

Crystal structure
```
Tb12Pm3Er
1.0
5.0538 0.0000 0.0000
0.0000 5.0538 0.0000
0.0000 0.0000 20.2063
Tb Pm Er
12 3 1
direct
0.0000 0.0000 0.0000
0.0000 0.0000 0.2485
0.0000 0.0000 0.5000
0.0000 0.0000 0.7515
0.0000 0.5000 0.1233
0.0000 0.5000 0.3743
0.0000 0.5000 0.6257
0.0000 0.5000 0.8767
0.5000 0.0000 0.1233
0.5000 0.0000 0.3743
0.5000 0.0000 0.6257
0.5000 0.0000 0.8767
0.5000 0.5000 0.2490
0.5000 0.5000 0.5000
0.5000 0.5000 0.7510
0.5000 0.5000 0.0000
```

The 8 most intense peaks (15 to 90 degrees two-theta), in order of rising 2θ:
d_spacing  2θ/deg  Rel. int.
2.917  30.64  100
2.527  35.53  51
1.787  51.13  36
1.524  60.80  43
1.459  63.81  12
1.263  75.22  6
1.159  83.37  18
1.130  86.05  17

---

Entry 6:
This entry pairs a crystal structure of TbPm2Er5 with its theoretical powder X-ray diffraction pattern. Radiation: Cu Kα (weighted mean of Kα1 and Kα2). Structure: a DFT-relaxed cell (GGA-PBE, Alexandria).

Crystal structure
```
TbPm2Er5
1.0
8.0886 -4.9098 0.0000
8.0886 4.9098 0.0000
-0.9877 0.0000 6.4211
Tb Pm Er
2 4 10
direct
0.0000 0.5000 0.0000
0.5000 0.0000 0.5000
0.1659 0.6762 0.8818
0.3238 0.8341 0.6182
0.6762 0.1659 0.3818
0.8341 0.3238 0.1182
0.0093 0.1906 0.6459
0.1906 0.0093 0.1459
0.2146 0.3900 0.4756
0.3900 0.2146 0.9756
0.4422 0.5578 0.2500
0.5578 0.4422 0.7500
0.6100 0.7854 0.0244
0.7854 0.6100 0.5244
0.8094 0.9907 0.8541
0.9907 0.8094 0.3541
```

The 8 most intense peaks (15 to 90 degrees two-theta), in order of rising 2θ:
d_spacing  2θ/deg  Rel. int.
3.041  29.37  23
2.930  30.51  19
2.916  30.66  6
2.834  31.57  100
2.112  42.83  8
2.037  44.47  8
1.636  56.22  16
1.417  65.91  8

---

Entry 7:
This entry pairs a crystal structure of Tb3Pm2Er6 with its theoretical powder X-ray diffraction pattern. Radiation: Cu Kα (weighted mean of Kα1 and Kα2). Structure: a DFT-relaxed cell (GGA-PBE, Alexandria).

Crystal structure
```
Tb3Pm2Er6
1.0
3.0725 -5.2316 0.0000
3.0725 5.2316 0.0000
-1.6547 0.0000 11.4277
Tb Pm Er
3 2 6
direct
0.0000 0.0000 0.0000
0.3360 0.6640 0.0000
0.6640 0.3360 0.0000
0.1739 0.8261 0.5000
0.8261 0.1739 0.5000
0.0705 0.4049 0.2463
0.2633 0.2633 0.7468
0.4049 0.0705 0.2463
0.5951 0.9295 0.7537
0.7367 0.7367 0.2532
0.9295 0.5951 0.7537
```

The 8 most intense peaks (15 to 90 degrees two-theta), in order of rising 2θ:
d_spacing  2θ/deg  Rel. int.
2.874  31.11  100
2.858  31.29  98
2.538  35.37  35
2.456  36.59  65
1.765  51.80  47
1.522  60.88  21
1.489  62.38  28
1.482  62.69  27

---

Entry 8:
This entry pairs a crystal structure of TbPm9Er2 with its theoretical powder X-ray diffraction pattern. Radiation: Cu Kα (weighted mean of Kα1 and Kα2). Structure: a DFT-relaxed cell (GGA-PBE, Alexandria).

Crystal structure
```
TbPm9Er2
1.0
5.1161 0.0000 0.0000
0.0000 5.1161 0.0000
0.0000 0.0000 15.3422
Tb Pm Er
1 9 2
direct
0.0000 0.0000 0.0000
0.0000 0.5000 0.1674
0.0000 0.5000 0.5000
0.0000 0.5000 0.8326
0.5000 0.0000 0.1674
0.5000 0.0000 0.5000
0.5000 0.0000 0.8326
0.5000 0.5000 0.0000
0.5000 0.5000 0.3340
0.5000 0.5000 0.6660
0.0000 0.0000 0.3338
0.0000 0.0000 0.6662
```

The 8 most intense peaks (15 to 90 degrees two-theta), in order of rising 2θ:
d_spacing  2θ/deg  Rel. int.
2.953  30.26  100
2.558  35.08  51
1.809  50.46  36
1.542  59.98  43
1.477  62.94  12
1.279  74.14  6
1.174  82.13  18
1.144  84.75  16

---

Entry 9:
This entry pairs a crystal structure of Tb7PmEr4 with its theoretical powder X-ray diffraction pattern. Radiation: Cu Kα (weighted mean of Kα1 and Kα2). Structure: a DFT-relaxed cell (GGA-PBE, Alexandria).

Crystal structure
```
Tb7PmEr4
1.0
6.2001 0.0000 0.0000
0.0078 7.1628 0.0000
2.0926 0.0010 8.5690
Tb Pm Er
7 1 4
direct
0.0000 0.0000 0.0000
0.2220 0.5002 0.3346
0.2795 0.2485 0.6646
0.5003 0.2483 0.0004
0.4997 0.7517 0.9996
0.7205 0.7515 0.3354
0.7780 0.4998 0.6654
0.0000 0.5000 0.0000
0.2203 0.0001 0.3348
0.2789 0.7515 0.6653
0.7211 0.2485 0.3347
0.7797 0.9999 0.6652
```

The 8 most intense peaks (15 to 90 degrees two-theta), in order of rising 2θ:
d_spacing  2θ/deg  Rel. int.
3.078  29.00  37
3.014  29.64  17
2.856  31.32  51
2.793  32.05  100
2.655  33.76  90
1.790  51.01  39
1.518  61.05  30
1.484  62.58  15

---

Entry 10:
This entry pairs a crystal structure of Tb3Pm12Er with its theoretical powder X-ray diffraction pattern. Radiation: Cu Kα (weighted mean of Kα1 and Kα2). Structure: a DFT-relaxed cell (GGA-PBE, Alexandria).

Crystal structure
```
Tb3Pm12Er
1.0
5.1256 0.0000 0.0000
0.0000 5.1256 0.0000
0.0000 0.0000 20.4623
Tb Pm Er
3 12 1
direct
0.0000 0.0000 0.0000
0.0000 0.0000 0.2505
0.0000 0.0000 0.7495
0.0000 0.5000 0.1252
0.0000 0.5000 0.3756
0.0000 0.5000 0.6244
0.0000 0.5000 0.8748
0.5000 0.0000 0.1252
0.5000 0.0000 0.3756
0.5000 0.0000 0.6244
0.5000 0.0000 0.8748
0.5000 0.5000 0.0000
0.5000 0.5000 0.2505
0.5000 0.5000 0.5000
0.5000 0.5000 0.7495
0.0000 0.0000 0.5000
```

The 8 most intense peaks (15 to 90 degrees two-theta), in order of rising 2θ:
d_spacing  2θ/deg  Rel. int.
2.957  30.22  100
2.561  35.04  51
1.811  50.39  36
1.544  59.89  43
1.479  62.85  12
1.175  82.00  18
1.146  84.56  11
1.144  84.70  5

---

Entry 11:
This entry pairs a crystal structure of Tb6Pm4Er19 with its theoretical powder X-ray diffraction pattern. Radiation: Cu Kα (weighted mean of Kα1 and Kα2). Structure: a DFT-relaxed cell (GGA-PBE, Alexandria).

Crystal structure
```
Tb6Pm4Er19
1.0
-6.1957 6.1957 6.1957
6.1957 -6.1957 6.1957
6.1957 6.1957 -6.1957
Tb Pm Er
6 4 19
direct
0.1263 0.6263 0.5000
0.3737 0.5000 0.8737
0.5000 0.1263 0.6263
0.5000 0.8737 0.3737
0.6263 0.5000 0.1263
0.8737 0.3737 0.5000
0.0000 0.0000 0.6407
0.0000 0.6407 0.0000
0.3593 0.3593 0.3593
0.6407 0.0000 0.0000
0.0000 0.0000 0.0000
0.0000 0.2602 0.2602
0.0000 0.7398 0.7398
0.0150 0.8001 0.3398
0.1999 0.2149 0.5397
0.2149 0.5397 0.1999
0.2602 0.0000 0.2602
0.2602 0.2602 0.0000
0.3247 0.7851 0.9850
0.3398 0.0150 0.8001
0.4603 0.6753 0.6602
0.5397 0.1999 0.2149
0.6602 0.4603 0.6753
0.6753 0.6602 0.4603
0.7398 0.0000 0.7398
0.7398 0.7398 0.0000
0.7851 0.9850 0.3247
0.8001 0.3398 0.0150
0.9850 0.3247 0.7851
```

The 8 most intense peaks (15 to 90 degrees two-theta), in order of rising 2θ:
d_spacing  2θ/deg  Rel. int.
3.312  26.92  50
3.098  28.82  64
2.921  30.61  100
2.529  35.49  43
2.430  36.99  74
1.686  54.41  26
1.525  60.72  29
1.503  61.73  22